No. 1
Calculated powder X-ray diffraction pattern of Sm2Ga6Os for a wavelength of 1.5418 Å, from a crystal structure in Alexandria, relaxed with GGA-PBE.
No peak broadening, texture or thermal motion is included.

Crystal structure
Cell lengths 5.9443, 5.9443, 5.6505 Å; angles 90.00, 90.00, 120.00 degrees
Space group P-3m1 (No. 164)
Unique sites:
Sm: 0.3333 0.6667 0.3249 [2 per cell]
Ga: 0.1752 0.3504 0.8185 [6 per cell]
Os: 0.0000 0.0000 0.5000 [1 per cell]

Largest 12 diffraction maxima, low angle first, 5° ≤ 2θ ≤ 70°:
2θ (°)  I (rel.)  (hkl)
23.38  19  1 0 1
30.07  30  1 1 0
34.08  54  1 1 1
36.27  50  1 0 2
38.43  100  0 2 1
47.80  26  2 0 2
51.68  16  0 1 3
56.01  14  3 0 1
57.51  19  2 1 2
62.50  26  2 2 0
68.93  10  0 1 4
69.45  19  1 2 3

No. 2
Calculated powder X-ray diffraction pattern of LaTbNdSm3 for a wavelength of 1.5418 Å, from a crystal structure in Alexandria, relaxed with GGA-PBE.
No peak broadening, texture or thermal motion is included.

Crystal structure
Cell lengths 20.460, 5.786, 6.996 Å; angles 90.00, 90.69, 90.00 degrees
Space group C2/m (No. 12)
Unique sites:
La: 0.146 0.000 0.028 [4 per cell]
Tb: 0.147 0.000 0.469 [4 per cell]
Nd: 0.055 0.500 0.262 [4 per cell]
Sm: 0.020 0.000 0.745 [4 per cell]
Sm: 0.163 0.500 0.737 [4 per cell]
Sm: 0.220 0.500 0.251 [4 per cell]

Largest 12 diffraction maxima, low angle first, 5° ≤ 2θ ≤ 70°:
2θ (°)  I (rel.)  (hkl)
25.47  21  0 0 2
26.13  22  6 0 0
29.52  75  5 1 -1
29.75  73  5 1 1
30.18  36  1 1 2
30.80  25  4 0 -2
30.91  100  0 2 0
32.55  63  3 1 -2
32.80  69  3 1 2
34.38  57  7 1 0
44.22  28  4 2 -2
62.01  22  0 2 4